The following is a theoretical powder XRD pattern of AuBr2Cl. It was derived from a DFT-relaxed cell (PBE, Alexandria), using Cu Kα (weighted mean of Kα1 and Kα2).
Lines closer than 0.1° are merged.

Structure:
```
data_AuBr2Cl
_space_group_name_H-M_alt 'C 1 2/m 1'
_space_group_IT_number 12
_cell_length_a 11.2248
_cell_length_b 3.7803
_cell_length_c 7.8899
_cell_angle_alpha 90.00
_cell_angle_beta 134.25
_cell_angle_gamma 90.00
loop_
_space_group_symop_operation_xyz
'x,y,z'
'-x,-y,-z'
'-x,y,-z'
'x,-y,z'
'x+1/2,y+1/2,z'
'-x+1/2,-y+1/2,-z'
'-x+1/2,y+1/2,-z'
'x+1/2,-y+1/2,z'
loop_
_atom_site_label
_atom_site_type_symbol
_atom_site_fract_x
_atom_site_fract_y
_atom_site_fract_z
Au1 Au 0.0000 0.0000 0.0000
Br1 Br 0.2114 0.5000 0.2114
Cl1 Cl 0.0000 0.5000 0.5000
```

Most intense lines, 2θ = 10–90°, low angle first:
15.7 deg, d = 5.652 Å, intensity 54, hkl 0 0 1; 15.8 deg, d = 5.611 Å, intensity 54, hkl 2 0 -1; 22.5 deg, d = 3.945 Å, intensity 100, hkl 2 0 -2; 26.1 deg, d = 3.418 Å, intensity 16, hkl 1 1 0; 34.4 deg, d = 2.604 Å, intensity 61, hkl 1 1 1; 34.5 deg, d = 2.596 Å, intensity 60, hkl 3 1 -1; 41.3 deg, d = 2.186 Å, intensity 19, hkl 3 1 0; 47.7 deg, d = 1.907 Å, intensity 37, hkl 1 1 -3; 47.9 deg, d = 1.897 Å, intensity 24, hkl 5 1 -3; 53.8 deg, d = 1.705 Å, intensity 20, hkl 2 2 -2



The following is a theoretical powder XRD pattern of Na2As7Pd12. It was derived from a DFT-relaxed cell (PBE, Alexandria), using Cu Kα (weighted mean of Kα1 and Kα2).
Lines closer than 0.1° are merged.

Structure:
```
data_Na2As7Pd12
_space_group_name_H-M_alt 'P -3'
_space_group_IT_number 147
_cell_length_a 10.2165
_cell_length_b 10.2165
_cell_length_c 4.0122
_cell_angle_alpha 90.00
_cell_angle_beta 90.00
_cell_angle_gamma 120.00
loop_
_space_group_symop_operation_xyz
'x,y,z'
'-x,-y,-z'
'-y,x-y,z'
'y,-x+y,-z'
'-x+y,-x,z'
'x-y,x,-z'
loop_
_atom_site_label
_atom_site_type_symbol
_atom_site_fract_x
_atom_site_fract_y
_atom_site_fract_z
Na1 Na 0.3333 0.6667 0.2493
As1 As 0.0000 0.0000 0.5000
As2 As 0.1211 0.7084 0.7489
Pd1 Pd 0.0551 0.4361 0.7484
Pd2 Pd 0.1074 0.2551 0.2385
```

Most intense lines, 2θ = 10–90°, low angle first:
17.4 deg, d = 5.108 Å, intensity 31, hkl 1 1 0; 34.9 deg, d = 2.569 Å, intensity 100, hkl 2 1 1; 37.9 deg, d = 2.376 Å, intensity 19, hkl 3 0 1; 43.2 deg, d = 2.093 Å, intensity 41, hkl 4 -1 1; 44.6 deg, d = 2.030 Å, intensity 25, hkl 3 2 0; 45.2 deg, d = 2.006 Å, intensity 23, hkl 0 0 2; 46.9 deg, d = 1.937 Å, intensity 20, hkl 0 4 1; 47.1 deg, d = 1.931 Å, intensity 30, hkl 1 4 0; 67.3 deg, d = 1.391 Å, intensity 17, hkl 1 4 2; 79.5 deg, d = 1.206 Å, intensity 17, hkl 5 3 1



The following is a theoretical powder XRD pattern of Ac2PuRh9. It was derived from a DFT-relaxed cell (PBE, Alexandria), using Cu Kα (weighted mean of Kα1 and Kα2).
Lines closer than 0.1° are merged.

Structure:
```
data_Ac2PuRh9
_space_group_name_H-M_alt 'R -3 m'
_space_group_IT_number 166
_space_group_name_Hall '-R 3 2"'
_cell_length_a 5.3525
_cell_length_b 5.3525
_cell_length_c 27.2457
_cell_angle_alpha 90.00
_cell_angle_beta 90.00
_cell_angle_gamma 120.00
loop_
_atom_site_label
_atom_site_type_symbol
_atom_site_fract_x
_atom_site_fract_y
_atom_site_fract_z
Ac1 Ac 0.0000 0.0000 0.1374
Pu1 Pu 0.0000 0.0000 0.0000
Rh1 Rh 0.0000 0.0000 0.3329
Rh2 Rh 0.0000 0.0000 0.5000
Rh3 Rh 0.0011 0.5006 0.0789
```

Most intense lines, 2θ = 10–90°, low angle first:
30.0 deg, d = 2.981 Å, intensity 33, hkl 1 0 7; 32.6 deg, d = 2.745 Å, intensity 33, hkl 0 1 8; 33.5 deg, d = 2.676 Å, intensity 36, hkl 1 1 0; 39.0 deg, d = 2.307 Å, intensity 100, hkl 1 1 6; 42.4 deg, d = 2.133 Å, intensity 13, hkl 2 0 5; 57.7 deg, d = 1.598 Å, intensity 13, hkl 2 1 7; 59.3 deg, d = 1.558 Å, intensity 13, hkl 1 2 8; 62.3 deg, d = 1.490 Å, intensity 12, hkl 2 0 14; 63.6 deg, d = 1.463 Å, intensity 17, hkl 0 3 6; 70.4 deg, d = 1.338 Å, intensity 18, hkl 2 2 0



The following is a theoretical powder XRD pattern of Pm7DyTm3. It was derived from a DFT-relaxed cell (PBE, Alexandria), using Cu Kα (weighted mean of Kα1 and Kα2).
Lines closer than 0.1° are merged.

Structure:
```
data_Pm7DyTm3
_space_group_name_H-M_alt 'P 3 m 1'
_space_group_IT_number 156
_cell_length_a 7.1496
_cell_length_b 7.1496
_cell_length_c 8.6301
_cell_angle_alpha 90.00
_cell_angle_beta 90.00
_cell_angle_gamma 120.00
loop_
_space_group_symop_operation_xyz
'x,y,z'
'-y,x-y,z'
'-x+y,-x,z'
'-y,-x,z'
'-x+y,y,z'
'x,x-y,z'
loop_
_atom_site_label
_atom_site_type_symbol
_atom_site_fract_x
_atom_site_fract_y
_atom_site_fract_z
Pm1 Pm 0.0000 0.0000 0.0000
Pm2 Pm 0.0017 0.5009 0.0147
Pm3 Pm 0.3318 0.1659 0.6667
Dy1 Dy 0.3333 0.6667 0.6799
Tm1 Tm 0.1673 0.3345 0.3420
```

Most intense lines, 2θ = 10–90°, low angle first:
30.7 deg, d = 2.914 Å, intensity 100, hkl 0 2 1; 31.1 deg, d = 2.877 Å, intensity 32, hkl 0 0 3; 35.7 deg, d = 2.515 Å, intensity 66, hkl 2 0 2; 51.1 deg, d = 1.787 Å, intensity 24, hkl 2 2 0; 51.6 deg, d = 1.770 Å, intensity 23, hkl 0 2 4; 60.8 deg, d = 1.524 Å, intensity 14, hkl 4 0 1; 61.0 deg, d = 1.518 Å, intensity 28, hkl 2 2 3; 61.5 deg, d = 1.508 Å, intensity 13, hkl 2 0 5; 63.9 deg, d = 1.457 Å, intensity 12, hkl 0 4 2; 83.3 deg, d = 1.160 Å, intensity 12, hkl 2 4 1



Please write out number 4 again, unchanged.
The following is a theoretical powder XRD pattern of Pm7DyTm3. It was derived from a DFT-relaxed cell (PBE, Alexandria), using Cu Kα (weighted mean of Kα1 and Kα2).
Lines closer than 0.1° are merged.

Structure:
```
data_Pm7DyTm3
_space_group_name_H-M_alt 'P 3 m 1'
_space_group_IT_number 156
_cell_length_a 7.1496
_cell_length_b 7.1496
_cell_length_c 8.6301
_cell_angle_alpha 90.00
_cell_angle_beta 90.00
_cell_angle_gamma 120.00
loop_
_space_group_symop_operation_xyz
'x,y,z'
'-y,x-y,z'
'-x+y,-x,z'
'-y,-x,z'
'-x+y,y,z'
'x,x-y,z'
loop_
_atom_site_label
_atom_site_type_symbol
_atom_site_fract_x
_atom_site_fract_y
_atom_site_fract_z
Pm1 Pm 0.0000 0.0000 0.0000
Pm2 Pm 0.0017 0.5009 0.0147
Pm3 Pm 0.3318 0.1659 0.6667
Dy1 Dy 0.3333 0.6667 0.6799
Tm1 Tm 0.1673 0.3345 0.3420
```

Most intense lines, 2θ = 10–90°, low angle first:
30.7 deg, d = 2.914 Å, intensity 100, hkl 0 2 1; 31.1 deg, d = 2.877 Å, intensity 32, hkl 0 0 3; 35.7 deg, d = 2.515 Å, intensity 66, hkl 2 0 2; 51.1 deg, d = 1.787 Å, intensity 24, hkl 2 2 0; 51.6 deg, d = 1.770 Å, intensity 23, hkl 0 2 4; 60.8 deg, d = 1.524 Å, intensity 14, hkl 4 0 1; 61.0 deg, d = 1.518 Å, intensity 28, hkl 2 2 3; 61.5 deg, d = 1.508 Å, intensity 13, hkl 2 0 5; 63.9 deg, d = 1.457 Å, intensity 12, hkl 0 4 2; 83.3 deg, d = 1.160 Å, intensity 12, hkl 2 4 1



What did the third record say?
The following is a theoretical powder XRD pattern of Ac2PuRh9. It was derived from a DFT-relaxed cell (PBE, Alexandria), using Cu Kα (weighted mean of Kα1 and Kα2).
Lines closer than 0.1° are merged.

Structure:
```
data_Ac2PuRh9
_space_group_name_H-M_alt 'R -3 m'
_space_group_IT_number 166
_space_group_name_Hall '-R 3 2"'
_cell_length_a 5.3525
_cell_length_b 5.3525
_cell_length_c 27.2457
_cell_angle_alpha 90.00
_cell_angle_beta 90.00
_cell_angle_gamma 120.00
loop_
_atom_site_label
_atom_site_type_symbol
_atom_site_fract_x
_atom_site_fract_y
_atom_site_fract_z
Ac1 Ac 0.0000 0.0000 0.1374
Pu1 Pu 0.0000 0.0000 0.0000
Rh1 Rh 0.0000 0.0000 0.3329
Rh2 Rh 0.0000 0.0000 0.5000
Rh3 Rh 0.0011 0.5006 0.0789
```

Most intense lines, 2θ = 10–90°, low angle first:
30.0 deg, d = 2.981 Å, intensity 33, hkl 1 0 7; 32.6 deg, d = 2.745 Å, intensity 33, hkl 0 1 8; 33.5 deg, d = 2.676 Å, intensity 36, hkl 1 1 0; 39.0 deg, d = 2.307 Å, intensity 100, hkl 1 1 6; 42.4 deg, d = 2.133 Å, intensity 13, hkl 2 0 5; 57.7 deg, d = 1.598 Å, intensity 13, hkl 2 1 7; 59.3 deg, d = 1.558 Å, intensity 13, hkl 1 2 8; 62.3 deg, d = 1.490 Å, intensity 12, hkl 2 0 14; 63.6 deg, d = 1.463 Å, intensity 17, hkl 0 3 6; 70.4 deg, d = 1.338 Å, intensity 18, hkl 2 2 0